No. 1
The following is a computed X-ray diffraction stick pattern of KHgBr2. It was derived from a DFT-relaxed cell (GGA-PBE, Alexandria), using copper Kα.

Top 12 peaks for 15 to 90 degrees two-theta, in order of rising 2θ:
two_theta  intensity  hkl
19.90  16  1 0 0
21.63  25  0 1 1
25.17  47  0 0 4
29.56  100  1 1 1
34.68  46  1 1 3
38.11  23  0 1 5
40.44  18  2 0 0
42.10  16  0 2 0
43.35  46  1 1 5
48.24  16  2 0 4
49.68  15  0 2 4
56.78  14  2 1 5

Crystal structure
Unit cell a=4.4605 b=4.2929 c=14.1504 alpha=90.00 beta=90.00 gamma=90.00
Space group Amm2 (No. 38)
One atom of each set of equivalent atoms:
K1 0.0000 0.0000 0.0000
Hg1 0.5000 0.0000 0.2282
Br1 0.0000 0.0000 0.7022
Br2 0.5000 0.0000 0.4352


No. 2
The following is a computed X-ray diffraction stick pattern of Fe2Co2Ni5. It was derived from a DFT-relaxed cell (GGA-PBE, Alexandria), using copper Kα.

Top 8 peaks for 15 to 90 degrees two-theta, in order of rising 2θ:
two_theta  intensity  hkl
44.25  100  3 1 -2
44.39  99  3 1 1
51.45  31  0 0 3
51.66  31  6 0 -1
51.82  30  0 2 0
75.70  9  6 0 -4
76.06  26  6 0 2
76.20  17  6 2 -1

Crystal structure
Unit cell a=10.6167 b=3.5285 c=5.6223 alpha=90.00 beta=108.61 gamma=90.00
Space group C2/m (No. 12)
One atom of each set of equivalent atoms:
Fe1 0.0572 0.0000 0.3297
Co1 0.2222 0.5000 0.3330
Ni1 0.0000 0.5000 0.0000
Ni2 0.1108 0.5000 0.6654
Ni3 0.1677 0.0000 0.0016